For La2Y3Th4, a DFT-relaxed cell (PBE, Alexandria) gives the calculated PXRD pattern in this record (CuKα).

Most intense lines, 10 to 80 degrees two-theta, in order of rising 2θ:
2theta, I_rel
28.67, 30
29.27, 36
30.31, 57
31.56, 100
33.19, 97
50.42, 41
56.79, 16
59.92, 33
60.06, 17
60.71, 15

Atomic structure:
a b c (Å): 18.804 3.621 9.797
angles (deg): 90.00 115.44 90.00
Space group C2/m (No. 12)
Symmetry-distinct sites (fractional):
La1 0.164 0.000 0.003 [4 per cell]
Y1 0.000 0.500 0.000 [2 per cell]
Y2 0.147 0.500 0.665 [4 per cell]
Th1 0.025 0.000 0.337 [4 per cell]
Th2 0.184 0.500 0.341 [4 per cell]